For DyFe12B4, a DFT-relaxed cell (PBE, Alexandria) gives the computed powder X-ray diffraction pattern in this record (CuKα).

Structural model:
Lattice parameters (Å, degrees): 6.3239 6.3239 6.3239 109.47 109.47 109.47
Atoms (fractional coordinates):
Dy (0.0000, 0.0000, 0.0000)
Fe (0.1642, 0.8248, 0.3395)
Fe (0.1752, 0.3395, 0.5147)
Fe (0.1752, 0.6605, 0.8358)
Fe (0.3395, 0.1642, 0.8248)
Fe (0.3395, 0.5147, 0.1752)
Fe (0.4853, 0.8248, 0.6605)
Fe (0.5147, 0.1752, 0.3395)
Fe (0.6605, 0.4853, 0.8248)
Fe (0.6605, 0.8358, 0.1752)
Fe (0.8248, 0.3395, 0.1642)
Fe (0.8248, 0.6605, 0.4853)
Fe (0.8358, 0.1752, 0.6605)
B (0.0000, 0.0000, 0.5000)
B (0.0000, 0.5000, 0.0000)
B (0.5000, 0.0000, 0.0000)
B (0.5000, 0.5000, 0.5000)

Principal peaks in the range 2θ = 10–80°, sorted by position:
2θ = 17.2°, d = 5.163 Å, intensity 13
2θ = 30.0°, d = 2.981 Å, intensity 17
2θ = 39.0°, d = 2.309 Å, intensity 100
2θ = 46.5°, d = 1.952 Å, intensity 61
2θ = 62.3°, d = 1.491 Å, intensity 16
2θ = 65.1°, d = 1.432 Å, intensity 25
2θ = 76.0°, d = 1.252 Å, intensity 13
2θ = 78.6°, d = 1.217 Å, intensity 15